(1)
Structure and theoretical X-ray diffraction stick pattern of Bi2S3O12 (a PBE-relaxed structure; Cu Kα, 1.54184 Å).

Peak list (6 most intense, 5° ≤ 2θ ≤ 70°, in order of rising 2θ)
- (1 0 4), 18.5 deg, intensity 100
- (1 1 0), 18.9 deg, intensity 83
- (0 2 4), 26.5 deg, intensity 52
- (1 1 6), 29.5 deg, intensity 43
- (2 1 4), 32.8 deg, intensity 49
- (3 0 0), 33.0 deg, intensity 38

Atomic structure:
```
data_Bi2S3O12
_chemical_formula_sum 'Bi12 S18 O72'
_cell_length_a 9.4079
_cell_length_b 9.4079
_cell_length_c 23.7759
_cell_angle_alpha 90.00
_cell_angle_beta 90.00
_cell_angle_gamma 120.00
_symmetry_space_group_name_H-M 'R -3 c'
_symmetry_Int_Tables_number 167
_symmetry_space_group_name_Hall '-R 3 2"c'
loop_
_atom_site_label
_atom_site_type_symbol
_atom_site_fract_x
_atom_site_fract_y
_atom_site_fract_z
_atom_site_occupancy
Bi1 Bi 0.0000 0.0000 0.1425 1
S1 S 0.0000 0.2970 0.2500 1
O1 O 0.0011 0.2089 0.1984 1
O2 O 0.0193 0.2032 0.9178 1
```



(2)
Structure and theoretical X-ray diffraction stick pattern of BiS2O8 (a PBE-relaxed structure; Cu Kα, 1.54184 Å).

Peak list (6 most intense, 5° ≤ 2θ ≤ 70°, in order of rising 2θ)
- (0 0 1), 14.5 deg, intensity 22
- (1 0 0), 17.7 deg, intensity 31
- (1 0 1), 23.0 deg, intensity 100
- (1 1 0), 31.0 deg, intensity 30
- (0 1 2), 34.4 deg, intensity 40
- (2 1 1), 50.6 deg, intensity 23

Atomic structure:
```
data_BiS2O8
_chemical_formula_sum 'Bi1 S2 O8'
_cell_length_a 5.7743
_cell_length_b 5.7743
_cell_length_c 6.0993
_cell_angle_alpha 90.00
_cell_angle_beta 90.00
_cell_angle_gamma 120.00
_symmetry_space_group_name_H-M 'P -3 m 1'
_symmetry_Int_Tables_number 164
_symmetry_space_group_name_Hall '-P 3 2"'
loop_
_atom_site_label
_atom_site_type_symbol
_atom_site_fract_x
_atom_site_fract_y
_atom_site_fract_z
_atom_site_occupancy
Bi1 Bi 0.0000 0.0000 0.0000 1
S1 S 0.3333 0.6667 0.7016 1
O1 O 0.1931 0.3862 0.7851 1
O2 O 0.3333 0.6667 0.4623 1
```



(3)
Structure and theoretical X-ray diffraction stick pattern of SnBiSbO6 (a PBE-relaxed structure; Cu Kα, 1.54184 Å).

Peak list (6 most intense, 5° ≤ 2θ ≤ 70°, in order of rising 2θ)
- (1 0 2), 26.0 deg, intensity 100
- (1 1 0), 33.1 deg, intensity 40
- (2 0 2), 42.5 deg, intensity 27
- (1 1 4), 49.6 deg, intensity 39
- (2 1 2), 54.9 deg, intensity 26
- (3 0 0), 59.0 deg, intensity 13

Atomic structure:
```
data_SnBiSbO6
_chemical_formula_sum 'Sn2 Bi2 Sb2 O12'
_cell_length_a 5.4206
_cell_length_b 5.4206
_cell_length_c 10.0197
_cell_angle_alpha 90.00
_cell_angle_beta 90.00
_cell_angle_gamma 120.00
_symmetry_space_group_name_H-M 'P -3 1 c'
_symmetry_Int_Tables_number 163
_symmetry_space_group_name_Hall '-P 3 2c'
loop_
_atom_site_label
_atom_site_type_symbol
_atom_site_fract_x
_atom_site_fract_y
_atom_site_fract_z
_atom_site_occupancy
Sn1 Sn 0.3333 0.6667 0.2500 1
Bi1 Bi 0.0000 0.0000 0.0000 1
Sb1 Sb 0.3333 0.6667 0.7500 1
O1 O 0.0105 0.3690 0.6388 1
```



(4)
Structure and theoretical X-ray diffraction stick pattern of Tl2Bi2SbO6 (a PBE-relaxed structure; Cu Kα, 1.54184 Å).

Peak list (6 most intense, 5° ≤ 2θ ≤ 70°, in order of rising 2θ)
- (0 0 2), 26.4 deg, intensity 76
- (2 0 0), 29.3 deg, intensity 55
- (1 3 -1), 31.3 deg, intensity 91
- (2 0 -2), 34.2 deg, intensity 59
- (1 3 1), 34.4 deg, intensity 100
- (1 3 -3), 47.6 deg, intensity 36

Atomic structure:
```
data_Tl2Bi2SbO6
_chemical_formula_sum 'Tl4 Bi4 Sb2 O12'
_cell_length_a 6.312
_cell_length_b 10.215
_cell_length_c 6.971
_cell_angle_alpha 90.00
_cell_angle_beta 104.78
_cell_angle_gamma 90.00
_symmetry_space_group_name_H-M 'C 1 2/m 1'
_symmetry_Int_Tables_number 12
loop_
_symmetry_equiv_pos_as_xyz
'x,y,z'
'-x,-y,-z'
'-x,y,-z'
'x,-y,z'
'x+1/2,y+1/2,z'
'-x+1/2,-y+1/2,-z'
'-x+1/2,y+1/2,-z'
'x+1/2,-y+1/2,z'
loop_
_atom_site_label
_atom_site_type_symbol
_atom_site_fract_x
_atom_site_fract_y
_atom_site_fract_z
_atom_site_occupancy
Tl1 Tl 0.000 0.167 0.000 1
Bi1 Bi 0.000 0.334 0.500 1
Sb1 Sb 0.000 0.000 0.500 1
O1 O 0.188 0.149 0.654 1
O2 O 0.201 0.000 0.317 1
```